# K2MgH8N4
Calculated XRD peak list, a wavelength of 1.5418 Å. Input: a GGA-PBE-relaxed structure.
Lines closer than 0.1° are merged.

The 6 most intense peaks (10 to 90 degrees two-theta), by intensity:
hkl 2 0 2, 30.5 deg, rel. 100; hkl 0 2 3, 32.2 deg, rel. 67; hkl 0 1 1, 14.1 deg, rel. 60; hkl 2 0 -4, 31.9 deg, rel. 39; hkl 2 2 -1, 34.5 deg, rel. 37; hkl 2 1 -4, 34.4 deg, rel. 31

Structure:
a = 7.5513 Å, b = 7.1679 Å, c = 13.5867 Å
α = 90.00°, β = 103.49°, γ = 90.00°
Positions (direct):
K: 0.0937 0.1250 0.3952
K: 0.0937 0.3750 0.8952
K: 0.4039 0.6501 0.1000
K: 0.4039 0.8499 0.6000
K: 0.5961 0.1501 0.4000
K: 0.5961 0.3499 0.9000
K: 0.9063 0.6250 0.1048
K: 0.9063 0.8750 0.6048
Mg: 0.2042 0.2139 0.1515
Mg: 0.2042 0.2861 0.6515
Mg: 0.7958 0.7139 0.3485
Mg: 0.7958 0.7861 0.8485
H: 0.0905 0.6133 0.4891
H: 0.0905 0.8867 0.9891
H: 0.1264 0.0188 0.7813
H: 0.1264 0.4812 0.2813
H: 0.1549 0.7171 0.3987
H: 0.1549 0.7829 0.8987
H: 0.2024 0.6388 0.7449
H: 0.2024 0.8612 0.2449
H: 0.3401 0.0053 0.7898
H: 0.3401 0.4947 0.2898
H: 0.3878 0.1271 0.0188
H: 0.3878 0.3729 0.5188
H: 0.4046 0.5711 0.7453
H: 0.4046 0.9289 0.2453
H: 0.4842 0.7383 0.8998
H: 0.4842 0.7617 0.3998
H: 0.5158 0.2383 0.6002
H: 0.5158 0.2617 0.1002
H: 0.5954 0.0711 0.7547
H: 0.5954 0.4289 0.2547
H: 0.6122 0.6271 0.4812
H: 0.6122 0.8729 0.9812
H: 0.6599 0.5053 0.7102
H: 0.6599 0.9947 0.2102
H: 0.7976 0.1388 0.7551
H: 0.7976 0.3612 0.2551
H: 0.8451 0.2171 0.1013
H: 0.8451 0.2829 0.6013
H: 0.8736 0.5188 0.7187
H: 0.8736 0.9812 0.2187
H: 0.9095 0.1133 0.0109
H: 0.9095 0.3867 0.5109
N: 0.0611 0.7280 0.4426
N: 0.0611 0.7720 0.9426
N: 0.2217 0.0451 0.7401
N: 0.2217 0.4549 0.2401
N: 0.2769 0.5197 0.7431
N: 0.2769 0.9803 0.2431
N: 0.3857 0.2473 0.5553
N: 0.3857 0.2527 0.0553
N: 0.6143 0.7473 0.9447
N: 0.6143 0.7527 0.4447
N: 0.7231 0.0197 0.7569
N: 0.7231 0.4803 0.2569
N: 0.7783 0.5451 0.7599
N: 0.7783 0.9549 0.2599
N: 0.9389 0.2280 0.0574
N: 0.9389 0.2720 0.5574



# KMg2P2H31O23
Calculated XRD peak list, a wavelength of 1.5418 Å. Input: a GGA-PBE-relaxed structure.
Lines closer than 0.1° are merged.

The 6 most intense peaks (10 to 90 degrees two-theta), by intensity:
hkl 1 0 4, 29.6 deg, rel. 100; hkl 2 0 0, 28.5 deg, rel. 77; hkl 1 1 -2, 25.3 deg, rel. 77; hkl 0 1 3, 24.0 deg, rel. 67; hkl 1 0 1, 14.9 deg, rel. 59; hkl 0 1 -1, 15.7 deg, rel. 52

Structure:
a = 6.3280 Å, b = 6.5394 Å, c = 13.0295 Å
α = 85.55°, β = 82.74°, γ = 87.14°
Positions (direct):
K: 0.0000 0.0000 0.0000
Mg: 0.4772 0.9541 0.3517
Mg: 0.9723 0.4772 0.7524
P: 0.4299 0.4438 0.4348
P: 0.4938 0.6709 0.0522
H: 0.0218 0.4576 0.5424
H: 0.0702 0.9642 0.4731
H: 0.0834 0.3277 0.3564
H: 0.1121 0.7741 0.7981
H: 0.1347 0.6284 0.1798
H: 0.1587 0.7413 0.4428
H: 0.1885 0.5518 0.9302
H: 0.2347 0.8513 0.6896
H: 0.2514 0.1535 0.2308
H: 0.3593 0.2871 0.7660
H: 0.3763 0.4017 0.6500
H: 0.3861 0.9990 0.1473
H: 0.4598 0.0613 0.9391
H: 0.4666 0.3062 0.9239
H: 0.4692 0.5872 0.2668
H: 0.5010 0.7286 0.5912
H: 0.5804 0.5970 0.8566
H: 0.6105 0.7031 0.7382
H: 0.6136 0.9340 0.6084
H: 0.6353 0.2089 0.1558
H: 0.7261 0.1661 0.8307
H: 0.7314 0.1373 0.4839
H: 0.7583 0.3891 0.0927
H: 0.7667 0.4885 0.5756
H: 0.8565 0.1896 0.5738
H: 0.8721 0.8200 0.2809
H: 0.8789 0.0560 0.3114
H: 0.8930 0.6468 0.1430
H: 0.9251 0.5917 0.9517
H: 0.9385 0.0609 0.7661
H: 0.9777 0.3833 0.2556
O: 0.0344 0.2631 0.2969
O: 0.0504 0.5655 0.8969
O: 0.0895 0.8222 0.7263
O: 0.1836 0.4639 0.4457
O: 0.1992 0.8861 0.4431
O: 0.2783 0.3613 0.7135
O: 0.3857 0.0665 0.2150
O: 0.3972 0.5825 0.1612
O: 0.4091 0.8980 0.0375
O: 0.4211 0.5472 0.9654
O: 0.4782 0.1799 0.8840
O: 0.5037 0.8368 0.6415
O: 0.5078 0.6129 0.3412
O: 0.5152 0.2290 0.4080
O: 0.5179 0.5103 0.5317
O: 0.6816 0.6136 0.7908
O: 0.7427 0.6559 0.0432
O: 0.7744 0.2431 0.1173
O: 0.7940 0.9296 0.3224
O: 0.8195 0.0722 0.5366
O: 0.8840 0.1791 0.8066
O: 0.9034 0.4476 0.6038
O: 0.9769 0.6450 0.2030



# K2MgP4H8O16
Calculated XRD peak list, a wavelength of 1.5418 Å. Input: a GGA-PBE-relaxed structure.
Lines closer than 0.1° are merged.

The 6 most intense peaks (10 to 90 degrees two-theta), by intensity:
hkl 0 2 0, 24.1 deg, rel. 100; hkl 0 0 2, 24.4 deg, rel. 75; hkl 0 1 -1, 18.1 deg, rel. 58; hkl 1 1 -1, 23.9 deg, rel. 53; hkl 2 0 0, 26.7 deg, rel. 45; hkl 0 1 1, 16.0 deg, rel. 45

Structure:
a = 6.9825 Å, b = 7.4892 Å, c = 7.6609 Å
α = 81.37°, β = 73.67°, γ = 83.75°
Positions (direct):
K: 0.1310 0.2460 0.2882
K: 0.8690 0.7540 0.7118
Mg: 0.5000 0.0000 0.5000
P: 0.2541 0.3147 0.7566
P: 0.3237 0.7696 0.2454
P: 0.6763 0.2304 0.7546
P: 0.7459 0.6853 0.2434
H: 0.0490 0.7683 0.0797
H: 0.2444 0.5528 0.4810
H: 0.3665 0.8215 0.8572
H: 0.3749 0.6878 0.7136
H: 0.6251 0.3122 0.2864
H: 0.6335 0.1785 0.1428
H: 0.7556 0.4472 0.5190
H: 0.9510 0.2317 0.9203
O: 0.0796 0.2803 0.9361
O: 0.2318 0.5858 0.3462
O: 0.2369 0.8336 0.0846
O: 0.2465 0.5137 0.6738
O: 0.2711 0.1813 0.6226
O: 0.3047 0.9023 0.3809
O: 0.4350 0.7964 0.7298
O: 0.4408 0.2811 0.8485
O: 0.5592 0.7189 0.1515
O: 0.5650 0.2036 0.2702
O: 0.6953 0.0977 0.6191
O: 0.7289 0.8187 0.3774
O: 0.7535 0.4863 0.3262
O: 0.7631 0.1664 0.9154
O: 0.7682 0.4142 0.6538
O: 0.9204 0.7197 0.0639



# KMgH5Se2O10
Calculated XRD peak list, a wavelength of 1.5418 Å. Input: a GGA-PBE-relaxed structure.
Lines closer than 0.1° are merged.

The 6 most intense peaks (10 to 90 degrees two-theta), by intensity:
hkl 0 1 -1, 16.1 deg, rel. 100; hkl 1 -1 1, 23.9 deg, rel. 70; hkl 1 1 0, 27.0 deg, rel. 63; hkl 0 1 1, 20.9 deg, rel. 46; hkl 1 0 -1, 20.3 deg, rel. 39; hkl 1 0 -2, 26.3 deg, rel. 36

Structure:
a = 4.7803 Å, b = 6.0983 Å, c = 8.7153 Å
α = 104.08°, β = 96.29°, γ = 100.13°
Positions (direct):
K: 0.0000 0.0000 0.0000
Mg: 0.9794 0.0020 0.5101
H: 0.0273 0.6699 0.6677
H: 0.3314 0.7291 0.6074
H: 0.4719 0.5278 0.0189
H: 0.6188 0.2634 0.4228
H: 0.9060 0.3202 0.3461
Se: 0.3410 0.6808 0.2658
Se: 0.6057 0.3127 0.7540
O: 0.1369 0.4196 0.2276
O: 0.1509 0.7797 0.6216
O: 0.1599 0.8924 0.2979
O: 0.3489 0.2708 0.5957
O: 0.4700 0.2999 0.9227
O: 0.4728 0.7002 0.0897
O: 0.6115 0.7204 0.4137
O: 0.7887 0.2064 0.3904
O: 0.7921 0.1021 0.7162
O: 0.8138 0.5732 0.7853



# K2MgH6Os
Calculated XRD peak list, a wavelength of 1.5418 Å. Input: a GGA-PBE-relaxed structure.
Lines closer than 0.1° are merged.

The 6 most intense peaks (10 to 90 degrees two-theta), by intensity:
hkl 1 0 0, 17.4 deg, rel. 100; hkl 1 1 0, 30.3 deg, rel. 74; hkl 1 0 1, 24.9 deg, rel. 71; hkl 1 0 2, 40.1 deg, rel. 48; hkl 1 1 1, 35.3 deg, rel. 43; hkl 0 0 1, 17.7 deg, rel. 41

Structure:
a = 5.8919 Å, b = 5.8919 Å, c = 5.0142 Å
α = 90.00°, β = 90.00°, γ = 120.00°
Positions (direct):
K: 0.3333 0.6667 0.3153
K: 0.6667 0.3333 0.6847
Mg: 0.0000 0.0000 0.0000
H: 0.1409 0.2818 0.6955
H: 0.1409 0.8591 0.6955
H: 0.2818 0.1409 0.3045
H: 0.7182 0.8591 0.6955
H: 0.8591 0.1409 0.3045
H: 0.8591 0.7182 0.3045
Os: 0.0000 0.0000 0.5000



# KMnH
Calculated XRD peak list, a wavelength of 1.5418 Å. Input: a GGA-PBE-relaxed structure.
Lines closer than 0.1° are merged.

The 6 most intense peaks (10 to 90 degrees two-theta), by intensity:
hkl 2 0 0, 30.0 deg, rel. 100; hkl 1 1 0, 17.2 deg, rel. 57; hkl 0 2 2, 46.4 deg, rel. 36; hkl 0 2 1, 27.3 deg, rel. 35; hkl 2 2 2, 56.3 deg, rel. 18; hkl 2 4 2, 65.0 deg, rel. 16

Structure:
a = 5.9678 Å, b = 10.2989 Å, c = 4.2295 Å
α = 90.00°, β = 90.00°, γ = 90.00°
Positions (direct):
K: 0.0000 0.1673 0.2500
K: 0.0000 0.8327 0.7500
K: 0.5000 0.3327 0.7500
K: 0.5000 0.6673 0.2500
Mn: 0.0000 0.5000 0.0000
Mn: 0.0000 0.5000 0.5000
Mn: 0.5000 0.0000 0.0000
Mn: 0.5000 0.0000 0.5000
H: 0.0000 0.3647 0.7500
H: 0.0000 0.6353 0.2500
H: 0.5000 0.1353 0.2500
H: 0.5000 0.8647 0.7500



# KMnH
Calculated XRD peak list, a wavelength of 1.5418 Å. Input: a GGA-PBE-relaxed structure.
Lines closer than 0.1° are merged.

The 6 most intense peaks (10 to 90 degrees two-theta), by intensity:
hkl 2 0 -2, 28.5 deg, rel. 100; hkl 1 1 1, 33.4 deg, rel. 73; hkl 2 0 1, 26.5 deg, rel. 61; hkl 3 1 -1, 37.4 deg, rel. 58; hkl 0 0 1, 14.5 deg, rel. 55; hkl 2 0 -1, 18.6 deg, rel. 31

Structure:
a = 10.7371 Å, b = 3.3150 Å, c = 6.5106 Å
α = 90.00°, β = 110.02°, γ = 90.00°
Positions (direct):
K: 0.0887 0.0000 0.3362
K: 0.4113 0.5000 0.6638
K: 0.5887 0.5000 0.3362
K: 0.9113 0.0000 0.6638
Mn: 0.1930 0.5000 0.9488
Mn: 0.3070 0.0000 0.0512
Mn: 0.6930 0.0000 0.9488
Mn: 0.8070 0.5000 0.0512
H: 0.1256 0.5000 0.6806
H: 0.3744 0.0000 0.3194
H: 0.6256 0.0000 0.6806
H: 0.8744 0.5000 0.3194



# KMn2H8
Calculated XRD peak list, a wavelength of 1.5418 Å. Input: a GGA-PBE-relaxed structure.
Lines closer than 0.1° are merged.

The 6 most intense peaks (10 to 90 degrees two-theta), by intensity:
hkl 1 0 1, 28.3 deg, rel. 100; hkl 0 0 1, 15.9 deg, rel. 45; hkl 1 1 0, 40.8 deg, rel. 44; hkl 2 -1 2, 52.8 deg, rel. 38; hkl 0 0 2, 32.1 deg, rel. 28; hkl 2 0 1, 50.4 deg, rel. 18

Structure:
a = 4.4242 Å, b = 4.4242 Å, c = 5.5722 Å
α = 90.00°, β = 90.00°, γ = 120.00°
Positions (direct):
K: 0.0000 0.0000 0.0000
Mn: 0.3333 0.6667 0.4989
Mn: 0.6667 0.3333 0.4989
H: 0.0000 0.4391 0.6926
H: 0.0000 0.7215 0.4140
H: 0.2785 0.2785 0.4140
H: 0.3333 0.6667 0.2203
H: 0.4391 0.0000 0.6926
H: 0.5609 0.5609 0.6926
H: 0.6667 0.3333 0.2203
H: 0.7215 0.0000 0.4140



# KMnH
Calculated XRD peak list, a wavelength of 1.5418 Å. Input: a GGA-PBE-relaxed structure.
Lines closer than 0.1° are merged.

The 6 most intense peaks (10 to 90 degrees two-theta), by intensity:
hkl 1 1 1, 33.0 deg, rel. 100; hkl 2 0 -2, 28.3 deg, rel. 89; hkl 4 0 -1, 27.6 deg, rel. 74; hkl 3 1 -1, 33.4 deg, rel. 60; hkl 5 1 0, 47.3 deg, rel. 45; hkl 0 0 1, 15.8 deg, rel. 45

Structure:
a = 12.9310 Å, b = 3.4946 Å, c = 6.3006 Å
α = 90.00°, β = 117.32°, γ = 90.00°
Positions (direct):
K: 0.0000 0.0000 0.0000
K: 0.1870 0.0000 0.6317
K: 0.5000 0.5000 0.0000
K: 0.6870 0.5000 0.6317
Mn: 0.2935 0.5000 0.2267
Mn: 0.4051 0.0000 0.4154
Mn: 0.7935 0.0000 0.2267
Mn: 0.9051 0.5000 0.4154
H: 0.0171 0.5000 0.3521
H: 0.3973 0.0000 0.6675
H: 0.5171 0.0000 0.3521
H: 0.8973 0.5000 0.6675